Entry 1:
The following is a calculated powder diffractogram of RbAgI2Cl6. It was derived from a GGA-PBE-relaxed structure, using a wavelength of 1.5418 Å.
Neutral-atom scattering factors, no anomalous dispersion.

Cell and atoms:
Unit cell a=7.6007 b=7.7173 c=7.8145 alpha=95.47 beta=113.46 gamma=106.45
Element x y z (fractional)
Rb1 0.0000 0.0000 0.0000
Ag1 0.0000 0.5000 0.5000
I1 0.3407 0.1429 0.7158
I2 0.6593 0.8571 0.2842
Cl1 0.1503 0.3809 0.3292
Cl2 0.1668 0.3803 0.7718
Cl3 0.4927 0.9004 0.7226
Cl4 0.5073 0.0996 0.2774
Cl5 0.8332 0.6197 0.2282
Cl6 0.8497 0.6191 0.6708

Principal peaks in the range 10 to 80 degrees two-theta, by intensity:
Position (°2θ)  I/Imax
21.36  100
19.73  82
21.51  59
25.55  58
13.86  57
22.98  45
35.13  44
30.34  37
23.68  27
29.27  24
31.25  24
37.79  22

Entry 2:
The following is a calculated powder diffractogram of Ag3SnI2Cl6. It was derived from a GGA-PBE-relaxed structure, using a wavelength of 1.5418 Å.
Neutral-atom scattering factors, no anomalous dispersion.

Cell and atoms:
Unit cell a=8.0746 b=8.0746 c=6.2601 alpha=93.35 beta=93.35 gamma=58.29
Element x y z (fractional)
Ag1 0.0000 0.0000 0.0000
Ag2 0.0000 0.5000 0.5000
Ag3 0.5000 0.0000 0.5000
Sn1 0.5000 0.5000 0.5000
I1 0.1798 0.1798 0.2050
I2 0.8202 0.8202 0.7950
Cl1 0.1945 0.6477 0.2742
Cl2 0.3523 0.8055 0.7258
Cl3 0.3609 0.3609 0.7273
Cl4 0.6391 0.6391 0.2727
Cl5 0.6477 0.1945 0.2742
Cl6 0.8055 0.3523 0.7258

Principal peaks in the range 10 to 80 degrees two-theta, by intensity:
Position (°2θ)  I/Imax
18.89  100
30.11  66
38.33  45
45.00  37
28.27  37
39.64  30
18.35  24
48.02  21
26.79  20
46.17  19
14.18  19
39.86  18

Entry 3:
The following is a calculated powder diffractogram of Tl2AgICl3. It was derived from a GGA-PBE-relaxed structure, using a wavelength of 1.5418 Å.
Neutral-atom scattering factors, no anomalous dispersion.

Cell and atoms:
Unit cell a=8.9228 b=8.9228 c=8.9228 alpha=146.25 beta=143.73 gamma=50.38
Element x y z (fractional)
Tl1 0.1503 0.1503 0.0000
Tl2 0.8497 0.8497 0.0000
Ag1 0.5000 0.5000 0.0000
I1 0.0000 0.5000 0.5000
Cl1 0.3329 0.3329 0.0000
Cl2 0.5000 0.0000 0.5000
Cl3 0.6671 0.6671 0.0000

Principal peaks in the range 10 to 80 degrees two-theta, by intensity:
Position (°2θ)  I/Imax
23.84  100
23.48  73
32.41  59
40.48  52
32.23  51
23.01  46
34.63  42
33.29  38
48.03  33
25.98  29
47.01  28
59.69  27

Entry 4:
The following is a calculated powder diffractogram of Mn2In3AgCl8. It was derived from a GGA-PBE-relaxed structure, using a wavelength of 1.5418 Å.
Neutral-atom scattering factors, no anomalous dispersion.

Cell and atoms:
Unit cell a=7.3543 b=7.3543 c=9.0117 alpha=90.00 beta=90.00 gamma=120.00
Element x y z (fractional)
Mn1 0.3333 0.6667 0.2006
Mn2 0.6667 0.3333 0.7994
In1 0.0000 0.0000 0.0000
In2 0.3333 0.6667 0.6308
In3 0.6667 0.3333 0.3692
Ag1 0.0000 0.0000 0.5000
Cl1 0.1628 0.3255 0.2991
Cl2 0.1628 0.8372 0.2991
Cl3 0.3255 0.1628 0.7009
Cl4 0.3333 0.6667 0.9435
Cl5 0.6667 0.3333 0.0565
Cl6 0.6745 0.8372 0.2991
Cl7 0.8372 0.1628 0.7009
Cl8 0.8372 0.6745 0.7009

Principal peaks in the range 10 to 80 degrees two-theta, by intensity:
Position (°2θ)  I/Imax
24.20  100
42.58  42
34.49  36
49.57  31
29.75  21
67.37  17
55.90  16
32.97  14
31.40  11
48.46  9
77.94  8
61.79  6